[1]
# MgGaCoO4
Theoretical PXRD pattern, Cu Kα (weighted mean of Kα1 and Kα2). Input: a structure optimized by DFT (PBE+U).

Principal peaks in the range 2θ = 10–90°, in order of falling intensity:
2theta  I/Imax
36.46  100
36.66  51
31.04  48
64.71  43
58.68  30
30.93  24
64.45  22
55.08  18
59.09  14
15.32  13

Atomic structure:
Unit cell a=5.7827 b=5.7827 c=8.1200 alpha=90.00 beta=90.00 gamma=90.00
Fractional positions:
Mg1 0.0000 0.2505 0.0000
Mg2 0.0000 0.7495 0.5000
Mg3 0.2505 0.0000 0.7500
Mg4 0.7495 0.0000 0.2500
Ga1 0.2537 0.2537 0.3750
Ga2 0.2537 0.7463 0.1250
Ga3 0.7463 0.2537 0.6250
Ga4 0.7463 0.7463 0.8750
Co1 0.2516 0.5000 0.7500
Co2 0.5000 0.2516 0.0000
Co3 0.5000 0.7484 0.5000
Co4 0.7484 0.5000 0.2500
O1 0.0171 0.2617 0.7489
O2 0.0171 0.7383 0.7511
O3 0.2617 0.0171 0.0011
O4 0.2616 0.4848 0.9867
O5 0.2616 0.5152 0.5133
O6 0.2617 0.9829 0.4989
O7 0.4848 0.2616 0.7633
O8 0.4848 0.7384 0.7367
O9 0.5152 0.2616 0.2367
O10 0.5152 0.7384 0.2633
O11 0.7383 0.0171 0.9989
O12 0.7384 0.4848 0.0133
O13 0.7384 0.5152 0.4867
O14 0.7383 0.9829 0.5011
O15 0.9829 0.2617 0.2511
O16 0.9829 0.7383 0.2489

***

[2]
# MgGaCoO4
Theoretical PXRD pattern, Cu Kα (weighted mean of Kα1 and Kα2). Input: a structure optimized by DFT (PBE+U).

Principal peaks in the range 2θ = 10–90°, in order of falling intensity:
2theta  I/Imax
35.83  100
36.11  51
63.59  47
30.55  36
57.58  29
63.22  24
23.96  22
30.38  18
43.51  17
58.17  14

Atomic structure:
Unit cell a=5.8835 b=5.8835 c=8.2346 alpha=90.00 beta=90.00 gamma=90.00
Fractional positions:
Mg1 0.0000 0.2486 0.0000
Mg2 0.0000 0.7514 0.5000
Mg3 0.2486 0.0000 0.7500
Mg4 0.7514 0.0000 0.2500
Ga1 0.2486 0.5000 0.7500
Ga2 0.5000 0.2486 0.0000
Ga3 0.5000 0.7514 0.5000
Ga4 0.7514 0.5000 0.2500
Co1 0.2471 0.2471 0.3750
Co2 0.2471 0.7529 0.1250
Co3 0.7529 0.2471 0.6250
Co4 0.7529 0.7529 0.8750
O1 0.0133 0.2578 0.7506
O2 0.0133 0.7422 0.7494
O3 0.2564 0.4851 0.9913
O4 0.2564 0.5149 0.5087
O5 0.2578 0.0133 0.9994
O6 0.2578 0.9867 0.5006
O7 0.4851 0.2564 0.7587
O8 0.4851 0.7436 0.7413
O9 0.5149 0.2564 0.2413
O10 0.5149 0.7436 0.2587
O11 0.7422 0.0133 0.0006
O12 0.7422 0.9867 0.4994
O13 0.7436 0.4851 0.0087
O14 0.7436 0.5149 0.4913
O15 0.9867 0.2578 0.2494
O16 0.9867 0.7422 0.2506

***

Copy entry 2 word for word.
# MgGaCoO4
Theoretical PXRD pattern, Cu Kα (weighted mean of Kα1 and Kα2). Input: a structure optimized by DFT (PBE+U).

Principal peaks in the range 2θ = 10–90°, in order of falling intensity:
2theta  I/Imax
35.83  100
36.11  51
63.59  47
30.55  36
57.58  29
63.22  24
23.96  22
30.38  18
43.51  17
58.17  14

Atomic structure:
Unit cell a=5.8835 b=5.8835 c=8.2346 alpha=90.00 beta=90.00 gamma=90.00
Fractional positions:
Mg1 0.0000 0.2486 0.0000
Mg2 0.0000 0.7514 0.5000
Mg3 0.2486 0.0000 0.7500
Mg4 0.7514 0.0000 0.2500
Ga1 0.2486 0.5000 0.7500
Ga2 0.5000 0.2486 0.0000
Ga3 0.5000 0.7514 0.5000
Ga4 0.7514 0.5000 0.2500
Co1 0.2471 0.2471 0.3750
Co2 0.2471 0.7529 0.1250
Co3 0.7529 0.2471 0.6250
Co4 0.7529 0.7529 0.8750
O1 0.0133 0.2578 0.7506
O2 0.0133 0.7422 0.7494
O3 0.2564 0.4851 0.9913
O4 0.2564 0.5149 0.5087
O5 0.2578 0.0133 0.9994
O6 0.2578 0.9867 0.5006
O7 0.4851 0.2564 0.7587
O8 0.4851 0.7436 0.7413
O9 0.5149 0.2564 0.2413
O10 0.5149 0.7436 0.2587
O11 0.7422 0.0133 0.0006
O12 0.7422 0.9867 0.4994
O13 0.7436 0.4851 0.0087
O14 0.7436 0.5149 0.4913
O15 0.9867 0.2578 0.2494
O16 0.9867 0.7422 0.2506

***

Q: What is the formula in the second record?
A: MgGaCoO4